SmBeNO: theoretical X-ray powder pattern (CuKα), based on a structure optimized by DFT (PBE).

```
SmBeNO
1.0
5.1574 0.0000 0.0000
0.0000 6.9532 0.0000
0.0000 0.0000 4.9013
Sm Be N O
4 4 4 4
Direct
0.0177 0.1781 0.0000
0.4823 0.1781 0.5000
0.5177 0.8220 0.0000
0.9823 0.8220 0.5000
0.0752 0.5929 0.0051
0.4248 0.5929 0.5051
0.5752 0.4071 0.0051
0.9248 0.4071 0.5051
0.0210 0.8390 0.0029
0.4790 0.8390 0.5029
0.5210 0.1610 0.0029
0.9790 0.1610 0.5029
0.1478 0.5215 0.6805
0.3522 0.5215 0.1805
0.6478 0.4785 0.6805
0.8522 0.4785 0.1805
```

The 6 most intense peaks (2θ = 10–80°), by angle:
2theta	intensity	index
12.73	26	0 1 0
28.21	100	1 1 1
34.79	25	2 0 0
36.15	44	1 2 1
36.67	22	0 0 2
38.86	23	0 3 0